Starting from a cell relaxed with PBE+U, the XRD peak list of BaTbFe4O7 was simulated for Cu Kα (λ = 1.5418 Å).
Peak positions follow from Bragg's law for the DFT cell and can differ from measured ones.

Crystal structure
```
data_BaTbFe4O7
_chemical_formula_sum 'Ba2 Tb2 Fe8 O14'
_cell_length_a 6.3803
_cell_length_b 6.3803
_cell_length_c 10.8039
_cell_angle_alpha 90.00
_cell_angle_beta 90.00
_cell_angle_gamma 120.00
_symmetry_space_group_name_H-M 'P 63 m c'
_symmetry_Int_Tables_number 186
_symmetry_space_group_name_Hall 'P 6c -2c'
loop_
_atom_site_label
_atom_site_type_symbol
_atom_site_fract_x
_atom_site_fract_y
_atom_site_fract_z
Ba1 Ba 0.3333 0.6667 0.0000
Tb1 Tb 0.3333 0.6667 0.4080
Fe1 Fe 0.0000 0.0000 0.4537
Fe2 Fe 0.1869 0.3738 0.7069
O1 O 0.0000 0.0000 0.2733
O2 O 0.0163 0.5081 0.8032
O3 O 0.1578 0.3156 0.5261
```

Top 8 peaks for 5° ≤ 2θ ≤ 70°, in order of rising 2θ:
2θ (°), I_rel, h k l
27.97, 52, 1 1 0
29.61, 68, 1 0 3
32.60, 100, 1 1 2
33.48, 45, 2 0 1
50.52, 20, 2 1 3
52.49, 28, 3 0 2
53.86, 36, 2 0 5
57.80, 28, 2 2 0